Calculated XRD peak list of SmCuSi for Cu Kα, from a DFT-relaxed cell (PBE, Alexandria).
Intensities are scaled so that the largest is 100.

Most intense lines, 2θ from 5° to 70°, most intense first:
| d [Å] | intensity |
| --- | --- |
| 2.687 | 100 |
| 2.047 | 34 |
| 3.546 | 28 |
| 1.452 | 22 |
| 1.629 | 22 |
| 2.060 | 12 |
| 1.781 | 8 |
| 1.773 | 4 |
| 4.119 | 3 |
| 1.833 | 2 |

```
SmCuSi
1.0
4.0946 0.0000 0.0000
-2.0473 3.5460 0.0000
0.0000 0.0000 4.1195
Sm Cu Si
1 1 1
Cartesian
0.0000 0.0000 0.0000
0.0000 2.3640 2.0597
2.0473 1.1820 2.0597
```

---

Calculated XRD peak list of K3BeSe3 for Cu Kα, from a DFT-relaxed cell (PBE, Alexandria).
Intensities are scaled so that the largest is 100.

Most intense lines, 2θ from 5° to 70°, most intense first:
| d [Å] | intensity |
| --- | --- |
| 2.970 | 100 |
| 3.178 | 79 |
| 2.925 | 76 |
| 2.478 | 56 |
| 3.696 | 53 |
| 2.616 | 43 |
| 2.688 | 38 |
| 3.249 | 37 |
| 3.352 | 29 |
| 6.511 | 24 |

```
K3BeSe3
1.0
7.6280 0.0000 0.0000
0.0000 12.6982 0.0000
-6.6577 0.0000 8.9098
K Be Se
12 4 12
Cartesian
-2.0530 1.6014 4.1665
-5.3818 4.7477 8.6214
-4.7877 0.7011 7.9160
-1.4588 5.6480 3.4612
-1.4068 8.9794 5.5609
1.9221 10.0679 1.1060
-0.9518 2.6303 7.8037
2.3771 3.7188 3.3488
2.4291 7.0502 5.4486
5.7580 11.9971 0.9937
6.3521 7.9505 0.2884
3.0233 11.0968 4.7433
0.9837 0.5510 3.2404
-2.3452 5.7981 7.6953
3.3155 6.9001 1.2145
-0.0133 12.1472 5.6694
0.2062 1.9899 1.5897
-3.1226 4.3592 6.0446
-3.4307 7.7358 8.0201
-0.1019 11.3115 3.5653
1.3663 6.9028 2.3364
-1.9626 12.1445 6.7913
2.9329 0.5537 2.1185
-0.3960 5.7954 6.5733
1.0722 1.3867 5.3445
4.4010 4.9624 0.8896
4.0930 8.3390 2.8651
0.7641 10.7083 7.3200
```